(1)
For La2MgS4, DFT lattice parameters and positions (PBE) gives the simulated X-ray powder pattern in this record (Cu Kα (λ = 1.5418 Å)).
Intensities are scaled so that the largest is 100.

Crystal structure
```
data_La2MgS4
_space_group_name_H-M_alt 'P n m a'
_space_group_IT_number 62
_space_group_name_Hall '-P 2ac 2n'
_cell_length_a 14.2917
_cell_length_b 8.4032
_cell_length_c 6.6706
_cell_angle_alpha 90.00
_cell_angle_beta 90.00
_cell_angle_gamma 90.00
loop_
_atom_site_label
_atom_site_type_symbol
_atom_site_fract_x
_atom_site_fract_y
_atom_site_fract_z
La1 La 0.0000 0.0000 0.0000
La2 La 0.2294 0.2500 0.4977
Mg1 Mg 0.0927 0.7500 0.4236
S1 S 0.0643 0.2500 0.7401
S2 S 0.0932 0.7500 0.7859
S3 S 0.1665 0.5207 0.2525
```

Main lines, most intense first (2θ from 5° to 70°):
two_theta  Rel. int.  (hkl)
36.6  100  2 2 2
18.1  89  1 1 1
25.8  66  1 2 1
22.9  57  3 0 1
25.3  48  3 1 1
14.7  47  1 0 1
24.6  46  2 2 0
36.9  41  4 0 2
43.7  39  6 2 0
40.5  29  5 2 1

(2)
For Al38O21, DFT lattice parameters and positions (PBE) gives the simulated X-ray powder pattern in this record (Cu Kα (λ = 1.5418 Å)).
Intensities are scaled so that the largest is 100.

Crystal structure
```
data_Al38O21
_space_group_name_H-M_alt 'P 1'
_space_group_IT_number 1
_space_group_name_Hall 'P 1'
_cell_length_a 5.6399
_cell_length_b 5.6412
_cell_length_c 50.1475
_cell_angle_alpha 88.68
_cell_angle_beta 89.29
_cell_angle_gamma 60.30
loop_
_atom_site_label
_atom_site_type_symbol
_atom_site_fract_x
_atom_site_fract_y
_atom_site_fract_z
Al1 Al 0.0000 0.0000 0.0000
Al2 Al 0.9999 0.4992 0.9997
Al3 Al 0.1621 0.6827 0.8125
Al4 Al 0.1655 0.1710 0.9527
Al5 Al 0.1673 0.1873 0.8127
Al6 Al 0.1667 0.6719 0.9527
Al7 Al 0.2046 0.7647 0.6332
Al8 Al 0.2119 0.5655 0.5263
Al9 Al 0.3314 0.3426 0.9065
Al10 Al 0.3314 0.8426 0.9065
Al11 Al 0.3331 0.8624 0.7682
Al12 Al 0.3353 0.1612 0.6167
Al13 Al 0.3392 0.3657 0.7604
Al14 Al 0.4501 0.0163 0.7086
Al15 Al 0.4514 0.7148 0.5730
Al16 Al 0.4817 0.4865 0.6774
Al17 Al 0.4981 0.0092 0.8589
Al18 Al 0.4981 0.5092 0.8589
Al19 Al 0.4996 0.9995 0.9999
Al20 Al 0.5001 0.4995 0.9999
Al21 Al 0.5729 0.0090 0.5233
Al22 Al 0.5975 0.7261 0.4683
Al23 Al 0.6567 0.2614 0.4544
Al24 Al 0.6609 0.1819 0.8129
Al25 Al 0.6647 0.6878 0.8130
Al26 Al 0.6657 0.6708 0.9527
Al27 Al 0.6668 0.1721 0.9527
Al28 Al 0.7885 0.2986 0.6200
Al29 Al 0.8274 0.3611 0.7688
Al30 Al 0.8314 0.3426 0.9065
Al31 Al 0.8314 0.8426 0.9065
Al32 Al 0.8336 0.8679 0.7623
Al33 Al 0.9070 0.7186 0.5843
Al34 Al 0.9239 0.2105 0.5087
Al35 Al 0.9254 0.4639 0.7200
Al36 Al 0.9395 0.9451 0.6923
Al37 Al 0.9981 0.0092 0.8589
Al38 Al 0.9981 0.5092 0.8589
O1 O 0.0874 0.1395 0.7006
O2 O 0.0936 0.1294 0.6403
O3 O 0.1291 0.6941 0.6688
O4 O 0.1449 0.2892 0.5264
O5 O 0.1561 0.5274 0.6127
O6 O 0.1931 0.6536 0.5617
O7 O 0.2711 0.9248 0.5997
O8 O 0.2996 0.3608 0.7235
O9 O 0.4326 0.5977 0.4481
O10 O 0.4849 0.8322 0.5012
O11 O 0.5560 0.5353 0.6427
O12 O 0.5715 0.3382 0.5225
O13 O 0.5976 0.6444 0.6993
O14 O 0.5987 0.1344 0.6801
O15 O 0.6299 0.8684 0.5577
O16 O 0.6772 0.9555 0.4529
O17 O 0.6990 0.0380 0.6110
O18 O 0.7656 0.4823 0.5901
O19 O 0.8284 0.8447 0.7222
O20 O 0.8674 0.3362 0.4754
O21 O 0.9517 0.8784 0.5137
```

Main lines, most intense first (2θ from 5° to 70°):
two_theta  Rel. int.  (hkl)
5.3  100  0 0 3
7.1  38  0 0 4
38.6  20  0 2 7
39.3  20  2 2 -7
38.3  19  2 0 6
37.7  18  0 0 21
38.8  14  2 0 7
39.5  13  0 0 22
38.1  12  0 2 6
35.8  12  0 0 20

(3)
For HfO2, DFT lattice parameters and positions (PBE) gives the simulated X-ray powder pattern in this record (Cu Kα (λ = 1.5418 Å)).
Intensities are scaled so that the largest is 100.

Crystal structure
```
data_HfO2
_space_group_name_H-M_alt 'P c a 21'
_space_group_IT_number 29
_space_group_name_Hall 'P 2c -2ac'
_cell_length_a 5.2693
_cell_length_b 5.0401
_cell_length_c 5.0745
_cell_angle_alpha 90.00
_cell_angle_beta 90.00
_cell_angle_gamma 90.00
loop_
_atom_site_label
_atom_site_type_symbol
_atom_site_fract_x
_atom_site_fract_y
_atom_site_fract_z
Hf1 Hf 0.0338 0.2326 0.0000
O1 O 0.1321 0.4279 0.6343
O2 O 0.2333 0.9598 0.2510
```

Main lines, most intense first (2θ from 5° to 70°):
two_theta  Rel. int.  (hkl)
30.2  100  1 1 1
60.3  15  1 1 3
35.4  15  0 0 2
51.1  14  0 2 2
60.7  14  1 3 1
49.9  14  2 0 2
34.0  13  2 0 0
50.1  13  2 2 0
35.6  12  0 2 0
58.5  12  3 1 1

(4)
For Zr3Sb, DFT lattice parameters and positions (PBE) gives the simulated X-ray powder pattern in this record (Cu Kα (λ = 1.5418 Å)).
Intensities are scaled so that the largest is 100.

Crystal structure
```
data_Zr3Sb
_space_group_name_H-M_alt 'P 63/m m c'
_space_group_IT_number 194
_space_group_name_Hall '-P 6c 2c'
_cell_length_a 6.2907
_cell_length_b 6.2907
_cell_length_c 5.2075
_cell_angle_alpha 90.00
_cell_angle_beta 90.00
_cell_angle_gamma 120.00
loop_
_atom_site_label
_atom_site_type_symbol
_atom_site_fract_x
_atom_site_fract_y
_atom_site_fract_z
Zr1 Zr 0.1662 0.3325 0.2500
Sb1 Sb 0.3333 0.6667 0.7500
```

Main lines, most intense first (2θ from 5° to 70°):
two_theta  Rel. int.  (hkl)
37.3  100  2 0 1
34.4  28  0 0 2
32.9  24  2 0 0
63.6  20  2 0 3
69.9  20  2 2 2
58.7  17  2 2 0
48.4  16  2 0 2
68.9  3  4 0 0
23.6  2  1 0 1
28.4  1  1 1 0

(5)
For U2Hg5As2O18, DFT lattice parameters and positions (PBE) gives the simulated X-ray powder pattern in this record (Cu Kα (λ = 1.5418 Å)).
Intensities are scaled so that the largest is 100.

Crystal structure
```
data_U2Hg5As2O18
_space_group_name_H-M_alt 'P -1'
_space_group_IT_number 2
_space_group_name_Hall '-P 1'
_cell_length_a 7.0077
_cell_length_b 7.2141
_cell_length_c 9.7124
_cell_angle_alpha 105.58
_cell_angle_beta 109.30
_cell_angle_gamma 95.11
loop_
_atom_site_label
_atom_site_type_symbol
_atom_site_fract_x
_atom_site_fract_y
_atom_site_fract_z
U1 U 0.1290 0.0034 0.2107
Hg1 Hg 0.1077 0.4291 0.6885
Hg2 Hg 0.4274 0.2680 0.0434
Hg3 Hg 0.5000 0.5000 0.5000
As1 As 0.2730 0.9366 0.6043
O1 O 0.1182 0.2667 0.2695
O2 O 0.1252 0.7397 0.1627
O3 O 0.1428 0.0715 0.7052
O4 O 0.1497 0.6881 0.5201
O5 O 0.1787 0.0581 0.9988
O6 O 0.2883 0.0416 0.4693
O7 O 0.3058 0.5527 0.9192
O8 O 0.4567 0.4493 0.6815
O9 O 0.4935 0.0695 0.2669
```

Main lines, most intense first (2θ from 5° to 70°):
two_theta  Rel. int.  (hkl)
28.6  100  1 0 2
28.5  90  1 1 -3
19.3  85  -1 1 1
29.7  75  2 1 -1
27.7  62  0 2 -2
31.1  59  0 2 1
27.8  58  1 -2 1
32.0  35  1 2 0
16.9  35  1 -1 0
49.8  25  0 1 -5

(6)
For Gd4Au2O9, DFT lattice parameters and positions (PBE) gives the simulated X-ray powder pattern in this record (Cu Kα (λ = 1.5418 Å)).
Intensities are scaled so that the largest is 100.

Crystal structure
```
data_Gd4Au2O9
_space_group_name_H-M_alt 'P b c n'
_space_group_IT_number 60
_space_group_name_Hall '-P 2n 2ab'
_cell_length_a 11.9120
_cell_length_b 6.0210
_cell_length_c 11.8970
_cell_angle_alpha 90.00
_cell_angle_beta 90.00
_cell_angle_gamma 90.00
loop_
_atom_site_label
_atom_site_type_symbol
_atom_site_fract_x
_atom_site_fract_y
_atom_site_fract_z
Gd1 Gd 0.0107 0.2405 0.0898
Gd2 Gd 0.1593 0.1968 0.7641
Au1 Au 0.2289 0.4216 0.5111
O1 O 0.0000 0.0235 0.2500
O2 O 0.0760 0.3891 0.5889
O3 O 0.1131 0.0603 0.9451
O4 O 0.1629 0.4404 0.3508
O5 O 0.1963 0.1246 0.1609
```

Main lines, most intense first (2θ from 5° to 70°):
two_theta  Rel. int.  (hkl)
28.0  100  3 1 1
33.7  68  2 0 4
31.6  32  1 2 1
36.7  27  2 2 2
14.9  25  0 0 2
33.4  23  2 2 0
47.0  21  3 1 5
30.0  19  0 0 4
48.4  19  2 0 6
55.5  19  0 2 6

(7)
For SrNbO3, DFT lattice parameters and positions (PBE) gives the simulated X-ray powder pattern in this record (Cu Kα (λ = 1.5418 Å)).
Intensities are scaled so that the largest is 100.

Crystal structure
```
data_SrNbO3
_space_group_name_H-M_alt 'P n m a'
_space_group_IT_number 62
_space_group_name_Hall '-P 2ac 2n'
_cell_length_a 5.7549
_cell_length_b 8.1966
_cell_length_c 5.7517
_cell_angle_alpha 90.00
_cell_angle_beta 90.00
_cell_angle_gamma 90.00
loop_
_atom_site_label
_atom_site_type_symbol
_atom_site_fract_x
_atom_site_fract_y
_atom_site_fract_z
Sr1 Sr 0.0175 0.2500 0.0003
Nb1 Nb 0.0000 0.0000 0.5000
O1 O 0.0057 0.7500 0.4623
O2 O 0.2191 0.5189 0.7811
```

Main lines, most intense first (2θ from 5° to 70°):
two_theta  Rel. int.  (hkl)
31.0  100  1 2 1
31.1  51  0 0 2
55.2  41  1 2 3
44.5  32  2 0 2
55.0  21  0 4 2
64.6  19  2 4 2
44.2  17  0 4 0
64.8  9  0 0 4
21.8  3  1 0 1
38.2  3  0 2 2

(8)
For Cs2Te3, DFT lattice parameters and positions (PBE) gives the simulated X-ray powder pattern in this record (Cu Kα (λ = 1.5418 Å)).
Intensities are scaled so that the largest is 100.

Crystal structure
```
data_Cs2Te3
_space_group_name_H-M_alt 'C m c 21'
_space_group_IT_number 36
_space_group_name_Hall 'C 2c -2'
_cell_length_a 8.7045
_cell_length_b 12.4833
_cell_length_c 8.7592
_cell_angle_alpha 90.00
_cell_angle_beta 90.00
_cell_angle_gamma 90.00
loop_
_atom_site_label
_atom_site_type_symbol
_atom_site_fract_x
_atom_site_fract_y
_atom_site_fract_z
Cs1 Cs 0.0000 0.0835 0.0000
Cs2 Cs 0.0000 0.4087 0.7877
Te1 Te 0.0000 0.2809 0.3443
Te2 Te 0.2499 0.1674 0.6521
```

Main lines, most intense first (2θ from 5° to 70°):
two_theta  Rel. int.  (hkl)
27.0  100  2 2 1
25.8  87  1 3 1
23.8  61  1 1 2
28.9  60  2 0 2
30.4  45  0 4 1
47.5  42  2 4 3
48.5  35  2 6 0
33.9  34  0 2 3
39.2  28  3 3 1
41.5  26  4 0 0